This entry pairs a crystal structure of EuVO4 with its theoretical X-ray powder pattern. Radiation: Cu Kα X-rays. Structure: a crystal structure in Alexandria, relaxed with PBE+U.
Kinematic intensities with the Lorentz-polarization factor, no thermal factor.

Cell lengths 7.3855, 7.3855, 6.4886 Å; angles 90.00, 90.00, 90.00 degrees
Space group I4_1/amd (No. 141, origin choice 2)
Symmetry-distinct sites (fractional):
1 Eu 0.0000 0.2500 0.3750
2 V 0.0000 0.2500 0.8750
3 O 0.0000 0.0682 0.7042

The 10 most intense peaks (10 to 80 degrees two-theta), by angle:
Position (°2θ), I/Imax, (hkl)
18.2, 35, 1 0 1
24.1, 100, 2 0 0
32.5, 71, 1 1 2
34.3, 22, 2 2 0
39.1, 15, 3 0 1
48.0, 59, 3 1 2
49.4, 16, 4 0 0
55.7, 14, 4 2 0
60.3, 17, 3 3 2
71.3, 14, 5 1 2